RbMnF3: computed powder X-ray diffraction pattern (λ = 1.5418 Å (Cu Kα)), based on a DFT-relaxed cell (PBE+U, Alexandria).
Lines closer than 0.1° are merged.

Main lines, low angle first (2θ = 10–80°):
- hkl 0 1 2, 2θ 23.04, rel. 59
- hkl 0 0 2, 2θ 23.89, rel. 63
- hkl 0 2 0, 2θ 27.11, rel. 68
- hkl 1 0 1, 2θ 28.54, rel. 100
- hkl 1 2 1, 2θ 36.62, rel. 46
- hkl -1 2 1, 2θ 36.73, rel. 46
- hkl 1 1 3, 2θ 43.14, rel. 39
- hkl 0 1 4, 2θ 45.85, rel. 37
- hkl 1 3 3, 2θ 52.39, rel. 27
- hkl 2 0 0, 2θ 53.15, rel. 26

Crystal structure
a = 3.4466 Å, b = 7.0072 Å, c = 7.9324 Å
α = 69.88°, β = 90.00°, γ = 89.83°
Atoms (fractional coordinates):
Rb1 0.2491 0.2346 0.2017
Rb2 0.7509 0.7654 0.7983
Mn1 0.2497 0.6799 0.3289
Mn2 0.7503 0.3201 0.6711
F1 0.2497 0.5537 0.6158
F2 0.2511 0.1312 0.6710
F3 0.2506 0.6824 0.0753
F4 0.7494 0.3176 0.9247
F5 0.7489 0.8688 0.3290
F6 0.7503 0.4463 0.3842